No. 1
Diffraction record for MgSi2. The X-ray powder pattern is calculated, not measured: it uses the GGA-PBE geometry in the Materials Project and Cu Kα (weighted mean of Kα1 and Kα2).
Kinematic intensities with the Lorentz-polarization factor, no thermal factor.

Main lines, sorted by position (2θ = 15–90°):
hkl 0 1 1, 25.66°, rel. 61.2
hkl 1 0 -4, 33.54°, rel. 83.4
hkl 2 0 1, 35.17°, rel. 52.4
hkl 1 0 4, 35.90°, rel. 76.2
hkl 1 1 -3, 36.85°, rel. 61.1
hkl 1 1 -4, 41.96°, rel. 94.9
hkl 2 1 0, 42.13°, rel. 100.0
hkl 1 1 4, 43.96°, rel. 53.8
hkl 1 1 5, 50.14°, rel. 31.9
hkl 0 2 0, 50.25°, rel. 65.6

Structure:
```
data_MgSi2
_cell_length_a 5.332
_cell_length_b 3.632
_cell_length_c 11.866
_cell_angle_alpha 90.00
_cell_angle_beta 94.44
_cell_angle_gamma 90.00
_symmetry_space_group_name_H-M 'P 1 m 1'
_symmetry_Int_Tables_number 6
loop_
_symmetry_equiv_pos_as_xyz
'x,y,z'
'x,-y,z'
loop_
_atom_site_label
_atom_site_fract_x
_atom_site_fract_y
_atom_site_fract_z
Mg1 0.000 0.000 0.000
Mg2 0.187 0.500 0.584
Mg3 0.483 0.000 0.822
Mg4 0.812 0.500 0.217
Si1 0.041 0.000 0.386
Si2 0.089 0.500 0.829
Si3 0.309 0.500 0.136
Si4 0.313 0.500 0.338
Si5 0.524 0.000 0.059
Si6 0.591 0.000 0.582
Si7 0.699 0.500 0.461
Si8 0.928 0.000 0.722
```

No. 2
Diffraction record for CsK2AuO2. The X-ray powder pattern is calculated, not measured: it uses the GGA-PBE geometry in the Materials Project and Cu Kα (weighted mean of Kα1 and Kα2).
Kinematic intensities with the Lorentz-polarization factor, no thermal factor.

Main lines, sorted by position (2θ = 15–90°):
hkl 2 0 1, 19.74°, rel. 60.8
hkl 0 2 0, 23.86°, rel. 31.6
hkl 4 0 0, 28.07°, rel. 41.2
hkl 1 2 1, 28.61°, rel. 18.1
hkl 1 0 2, 28.92°, rel. 23.5
hkl 2 2 1, 31.15°, rel. 100.0
hkl 3 0 2, 35.27°, rel. 20.5
hkl 4 2 0, 37.15°, rel. 16.3
hkl 1 2 3, 49.97°, rel. 18.1
hkl 6 2 1, 51.65°, rel. 16.1

Structure:
```
data_CsK2AuO2
_cell_length_a 12.712
_cell_length_b 7.460
_cell_length_c 6.365
_cell_angle_alpha 90.00
_cell_angle_beta 90.00
_cell_angle_gamma 90.00
_symmetry_space_group_name_H-M 'P n m a'
_symmetry_Int_Tables_number 62
loop_
_symmetry_equiv_pos_as_xyz
'x,y,z'
'-x,-y,-z'
'-x+1/2,-y,z+1/2'
'x+1/2,y,-z+1/2'
'x+1/2,-y+1/2,-z+1/2'
'-x+1/2,y+1/2,z+1/2'
'-x,y+1/2,-z'
'x,-y+1/2,z'
loop_
_atom_site_label
_atom_site_fract_x
_atom_site_fract_y
_atom_site_fract_z
Cs1 0.094 0.250 0.183
K1 0.139 0.502 0.639
Au1 0.123 0.750 0.173
O1 0.018 0.750 0.415
O2 0.226 0.750 0.928
```

No. 3
Diffraction record for CaB2H2. The X-ray powder pattern is calculated, not measured: it uses the GGA-PBE geometry in the Materials Project and Cu Kα (weighted mean of Kα1 and Kα2).
Kinematic intensities with the Lorentz-polarization factor, no thermal factor.

Main lines, sorted by position (2θ = 15–90°):
hkl 4 0 0, 20.69°, rel. 40.0
hkl 1 0 1, 25.75°, rel. 46.0
hkl 2 0 1, 27.30°, rel. 29.7
hkl 2 1 0, 29.20°, rel. 100.0
hkl 3 0 1, 29.72°, rel. 54.1
hkl 5 0 1, 36.49°, rel. 55.8
hkl 1 1 1, 37.84°, rel. 23.5
hkl 3 1 1, 40.76°, rel. 74.3
hkl 6 1 0, 41.94°, rel. 49.2
hkl 8 0 0, 42.10°, rel. 27.5

Structure:
```
data_CaB2H2
_cell_length_a 17.170
_cell_length_b 3.273
_cell_length_c 3.533
_cell_angle_alpha 90.00
_cell_angle_beta 90.00
_cell_angle_gamma 90.00
_symmetry_space_group_name_H-M 'P n m a'
_symmetry_Int_Tables_number 62
loop_
_symmetry_equiv_pos_as_xyz
'x,y,z'
'-x,-y,-z'
'-x+1/2,-y,z+1/2'
'x+1/2,y,-z+1/2'
'x+1/2,-y+1/2,-z+1/2'
'-x+1/2,y+1/2,z+1/2'
'-x,y+1/2,-z'
'x,-y+1/2,z'
loop_
_atom_site_label
_atom_site_fract_x
_atom_site_fract_y
_atom_site_fract_z
Ca1 0.114 0.250 0.078
B1 0.011 0.750 0.440
B2 0.242 0.750 0.873
H1 0.037 0.750 0.117
H2 0.172 0.750 0.802
```

No. 4
Diffraction record for Tb3Nd. The X-ray powder pattern is calculated, not measured: it uses the GGA-PBE geometry in the Materials Project and Cu Kα (weighted mean of Kα1 and Kα2).
Kinematic intensities with the Lorentz-polarization factor, no thermal factor.

Main lines, sorted by position (2θ = 15–90°):
hkl 2 0 0, 28.24°, rel. 23.6
hkl 0 0 2, 31.00°, rel. 24.8
hkl 2 0 1, 32.30°, rel. 100.0
hkl 2 0 2, 42.43°, rel. 15.8
hkl 2 2 0, 50.00°, rel. 19.7
hkl 2 0 3, 55.97°, rel. 21.1
hkl 2 2 2, 60.00°, rel. 22.7
hkl 4 0 1, 60.79°, rel. 16.4
hkl 4 2 1, 82.48°, rel. 13.9
hkl 2 2 4, 85.90°, rel. 8.5

Structure:
```
data_Tb3Nd
_cell_length_a 7.2970
_cell_length_b 7.2970
_cell_length_c 5.7697
_cell_angle_alpha 90.00
_cell_angle_beta 90.00
_cell_angle_gamma 120.00
_symmetry_space_group_name_H-M 'P 63/m m c'
_symmetry_Int_Tables_number 194
_symmetry_space_group_name_Hall '-P 6c 2c'
loop_
_atom_site_label
_atom_site_fract_x
_atom_site_fract_y
_atom_site_fract_z
Tb1 0.1655 0.3311 0.2500
Nd1 0.3333 0.6667 0.7500
```